[1]
Computed XRD peak list
Compound: Tb6TlHg6
Radiation: copper Kα
Structure: a cell relaxed with PBE

Principal peaks in the range 2θ = 10–90°, sorted by position:
hkl  Position (°2θ)  Rel. int.
1 1 0  28.5  25
2 0 0  33.0  60
1 1 2  33.3  65
0 0 4  34.0  35
2 0 2  37.3  100
2 2 0  59.0  33
1 1 6  60.4  26
2 2 4  69.9  27

Structure:
```
data_Tb6TlHg6
_symmetry_space_group_name_H-M 'P 6/m m m'
_symmetry_Int_Tables_number 191
_symmetry_space_group_name_Hall '-P 6 2'
_cell_length_a 6.2615
_cell_length_b 6.2615
_cell_length_c 10.5383
_cell_angle_alpha 90.00
_cell_angle_beta 90.00
_cell_angle_gamma 120.00
loop_
_atom_site_label
_atom_site_type_symbol
_atom_site_fract_x
_atom_site_fract_y
_atom_site_fract_z
Tb1 Tb 0.0000 0.0000 0.1749
Tb2 Tb 0.3333 0.6667 0.0000
Tb3 Tb 0.3333 0.6667 0.5000
Tl1 Tl 0.0000 0.0000 0.5000
Hg1 Hg 0.0000 0.5000 0.2514
```

[2]
Computed XRD peak list
Compound: LaPm2HoEr
Radiation: copper Kα
Structure: a cell relaxed with PBE

Principal peaks in the range 2θ = 10–90°, sorted by position:
hkl  Position (°2θ)  Rel. int.
2 0 0  20.7  43
1 0 -2  28.0  51
1 2 0  29.8  100
1 2 -1  31.8  48
2 1 1  32.2  64
3 1 -1  33.2  53
1 1 2  37.1  54
3 1 -2  38.5  52

Structure:
```
data_LaPm2HoEr
_symmetry_space_group_name_H-M 'P 1 2/c 1'
_symmetry_Int_Tables_number 13
_cell_length_a 9.0453
_cell_length_b 6.4059
_cell_length_c 6.3852
_cell_angle_alpha 90.00
_cell_angle_beta 108.12
_cell_angle_gamma 90.00
loop_
_symmetry_equiv_pos_as_xyz
'x,y,z'
'-x,-y,-z'
'-x,y,-z+1/2'
'x,-y,z+1/2'
loop_
_atom_site_label
_atom_site_type_symbol
_atom_site_fract_x
_atom_site_fract_y
_atom_site_fract_z
La1 La 0.0000 0.0000 0.0000
Pm1 Pm 0.3183 0.3175 0.1647
Ho1 Ho 0.5000 0.1660 0.7500
Er1 Er 0.0000 0.4876 0.7500
```

[3]
Computed XRD peak list
Compound: GdPd3
Radiation: copper Kα
Structure: a cell relaxed with PBE

Principal peaks in the range 2θ = 10–90°, sorted by position:
hkl  Position (°2θ)  Rel. int.
1 0 0  21.4  3
1 1 0  30.5  2
1 1 1  37.5  100
2 0 0  43.6  49
2 1 0  49.1  1
2 2 0  63.4  32
3 1 1  76.1  37
2 2 2  80.1  11

Structure:
```
data_GdPd3
_symmetry_space_group_name_H-M 'P m -3 m'
_symmetry_Int_Tables_number 221
_symmetry_space_group_name_Hall '-P 4 2 3'
_cell_length_a 4.1491
_cell_length_b 4.1491
_cell_length_c 4.1491
_cell_angle_alpha 90.00
_cell_angle_beta 90.00
_cell_angle_gamma 90.00
loop_
_atom_site_label
_atom_site_type_symbol
_atom_site_fract_x
_atom_site_fract_y
_atom_site_fract_z
Gd1 Gd 0.0000 0.0000 0.0000
Pd1 Pd 0.0000 0.5000 0.5000
```

[4]
Computed XRD peak list
Compound: Er4Tl5
Radiation: copper Kα
Structure: a cell relaxed with PBE

Principal peaks in the range 2θ = 10–90°, sorted by position:
hkl  Position (°2θ)  Rel. int.
2 1 1  32.5  11
3 0 0  33.5  100
2 2 2  48.0  16
2 1 3  51.5  6
3 3 0  59.8  21
5 1 1  66.3  5
3 0 4  66.9  14
5 2 2  80.1  5

Structure:
```
data_Er4Tl5
_symmetry_space_group_name_H-M 'P 63/m c m'
_symmetry_Int_Tables_number 193
_symmetry_space_group_name_Hall '-P 6c 2'
_cell_length_a 9.2809
_cell_length_b 9.2809
_cell_length_c 6.5533
_cell_angle_alpha 90.00
_cell_angle_beta 90.00
_cell_angle_gamma 120.00
loop_
_atom_site_label
_atom_site_type_symbol
_atom_site_fract_x
_atom_site_fract_y
_atom_site_fract_z
Er1 Er 0.0000 0.0000 0.0000
Er2 Er 0.0000 0.3685 0.2500
Tl1 Tl 0.0000 0.2988 0.7500
Tl2 Tl 0.3333 0.6667 0.0000
```

[5]
Computed XRD peak list
Compound: LiSc2B10
Radiation: copper Kα
Structure: a cell relaxed with PBE

Principal peaks in the range 2θ = 10–90°, sorted by position:
hkl  Position (°2θ)  Rel. int.
1 1 0  16.3  100
2 1 0  29.0  48
1 3 0  30.3  32
1 2 1  31.6  59
2 1 1  36.6  65
1 3 1  37.6  54
0 4 1  42.6  39
3 2 1  51.3  37

Structure:
```
data_LiSc2B10
_symmetry_space_group_name_H-M 'P b a m'
_symmetry_Int_Tables_number 55
_cell_length_a 6.4752
_cell_length_b 9.9385
_cell_length_c 4.0798
_cell_angle_alpha 90.00
_cell_angle_beta 90.00
_cell_angle_gamma 90.00
loop_
_symmetry_equiv_pos_as_xyz
'x,y,z'
'-x,-y,-z'
'-x,-y,z'
'x,y,-z'
'x+1/2,-y+1/2,-z'
'-x+1/2,y+1/2,z'
'-x+1/2,y+1/2,-z'
'x+1/2,-y+1/2,z'
loop_
_atom_site_label
_atom_site_type_symbol
_atom_site_fract_x
_atom_site_fract_y
_atom_site_fract_z
Li1 Li 0.0000 0.0000 0.0000
Sc1 Sc 0.1108 0.3470 0.5000
B1 B 0.1044 0.2028 0.0000
B2 B 0.1114 0.5407 0.0000
B3 B 0.1224 0.7181 0.0000
B4 B 0.2484 0.1223 0.2996
```

[6]
Computed XRD peak list
Compound: AcGaNi3
Radiation: copper Kα
Structure: a cell relaxed with PBE

Principal peaks in the range 2θ = 10–90°, sorted by position:
hkl  Position (°2θ)  Rel. int.
1 2 1  29.2  100
1 1 2  29.9  52
0 2 2  30.2  30
2 2 0  40.9  37
2 0 2  41.6  39
0 4 0  41.9  32
1 2 3  43.2  42
2 4 2  60.5  22

Structure:
```
data_AcGaNi3
_symmetry_space_group_name_H-M 'I m m a'
_symmetry_Int_Tables_number 74
_symmetry_space_group_name_Hall '-I 2b 2'
_cell_length_a 5.1331
_cell_length_b 8.6264
_cell_length_c 8.1388
_cell_angle_alpha 90.00
_cell_angle_beta 90.00
_cell_angle_gamma 90.00
loop_
_atom_site_label
_atom_site_type_symbol
_atom_site_fract_x
_atom_site_fract_y
_atom_site_fract_z
Ac1 Ac 0.0000 0.2500 0.0487
Ga1 Ga 0.0000 0.0000 0.5000
Ni1 Ni 0.0000 0.2500 0.6616
Ni2 Ni 0.2500 0.0274 0.7500
```

[7]
Computed XRD peak list
Compound: PH6Cl2
Radiation: copper Kα
Structure: a cell relaxed with PBE

Principal peaks in the range 2θ = 10–90°, sorted by position:
hkl  Position (°2θ)  Rel. int.
1 0 3  25.8  100
1 1 0  29.8  48
2 0 0  42.7  28
2 1 3  50.5  31
2 0 6  53.0  9
3 0 3  68.2  10
3 1 0  70.3  10
3 2 3  83.9  8

Structure:
```
data_PH6Cl2
_symmetry_space_group_name_H-M 'I 4/m m m'
_symmetry_Int_Tables_number 139
_symmetry_space_group_name_Hall '-I 4 2'
_cell_length_a 4.2371
_cell_length_b 4.2371
_cell_length_c 17.9590
_cell_angle_alpha 90.00
_cell_angle_beta 90.00
_cell_angle_gamma 90.00
loop_
_atom_site_label
_atom_site_type_symbol
_atom_site_fract_x
_atom_site_fract_y
_atom_site_fract_z
P1 P 0.0000 0.0000 0.0000
H1 H 0.0000 0.0000 0.2460
H2 H 0.0000 0.3601 0.0000
Cl1 Cl 0.0000 0.0000 0.3178
```

[8]
Computed XRD peak list
Compound: Sn3O4
Radiation: copper Kα
Structure: a cell relaxed with PBE

Principal peaks in the range 2θ = 10–90°, sorted by position:
hkl  Position (°2θ)  Rel. int.
1 1 0  14.1  100
2 1 1  25.4  49
2 2 0  28.4  28
2 0 2  31.5  82
3 0 1  32.5  60
3 1 2  40.3  26
3 2 3  52.5  64
5 3 2  66.3  24

Structure:
```
data_Sn3O4
_symmetry_space_group_name_H-M 'P 4/m n c'
_symmetry_Int_Tables_number 128
_symmetry_space_group_name_Hall '-P 4 2n'
_cell_length_a 8.8959
_cell_length_b 8.8959
_cell_length_c 7.3784
_cell_angle_alpha 90.00
_cell_angle_beta 90.00
_cell_angle_gamma 90.00
loop_
_atom_site_label
_atom_site_type_symbol
_atom_site_fract_x
_atom_site_fract_y
_atom_site_fract_z
Sn1 Sn 0.0000 0.0000 0.1926
Sn2 Sn 0.1940 0.1948 0.5000
O1 O 0.9996 0.2121 0.3180
```

Question: Which formula does entry 3 have?
Answer: GdPd3